Starting from a cell relaxed with GGA-PBE, the powder diffractogram of BeCuSb was simulated for copper Kα.
Neutral-atom scattering factors, no anomalous dispersion.

Top 10 peaks for 2θ = 10–80°, in order of rising 2θ:
Position (°2θ), I/Imax, index
11.6, 81, 0 0 1
23.3, 72, 0 0 2
28.5, 100, 0 1 -1
28.7, 86, 1 1 1
28.9, 83, 1 0 -1
29.6, 64, 0 1 2
42.9, 66, 1 1 3
43.4, 84, 1 0 -3
43.9, 57, 1 2 0
47.2, 56, 0 1 -3

Structural model:
Cell: 3.6152 4.2575 7.7944 Å, 78.72 89.29 64.92°
Space group P1 (No. 1)
Inequivalent atoms, fractional coordinates:
Be  0.0000  0.0000  0.0000 (multiplicity 1)
Be  0.3069  0.3816  0.0986 (multiplicity 1)
Cu  0.3696  0.2733  0.8126 (multiplicity 1)
Cu  0.6946  0.6174  0.9205 (multiplicity 1)
Sb  0.0347  0.9519  0.6553 (multiplicity 1)
Sb  0.6264  0.7331  0.2474 (multiplicity 1)

---

Starting from a cell relaxed with GGA-PBE, the powder diffractogram of Pr2Tm5Pb4 was simulated for copper Kα.
Neutral-atom scattering factors, no anomalous dispersion.

Top 10 peaks for 2θ = 10–80°, in order of rising 2θ:
Position (°2θ), I/Imax, index
29.3, 100, 8 0 1
29.6, 91, 3 1 -1
30.8, 55, 6 0 -2
35.4, 33, 1 1 -2
35.5, 39, 1 1 2
36.1, 32, 7 1 -1
36.7, 30, 7 1 1
39.5, 33, 5 1 2
40.8, 26, 9 1 -1
60.5, 26, 8 2 1

Structural model:
Cell: 27.2955 3.5375 7.3176 Å, 90.00 92.09 90.00°
Space group C2/m (No. 12)
Inequivalent atoms, fractional coordinates:
Pr  0.0898  0.0000  0.2764 (multiplicity 4)
Tm  0.0000  0.5000  0.0000 (multiplicity 2)
Tm  0.1469  0.0000  0.8257 (multiplicity 4)
Tm  0.2376  0.0000  0.2004 (multiplicity 4)
Pb  0.0367  0.0000  0.6783 (multiplicity 4)
Pb  0.1781  0.5000  0.4882 (multiplicity 4)